Theoretical powder XRD pattern of La11Pm9Th4 for Cu Ka, from a cell relaxed with GGA-PBE.
Peak positions follow from Bragg's law for the DFT cell and can differ from measured ones.

```
data_La11Pm9Th4
_cell_length_a 17.519
_cell_length_b 26.385
_cell_length_c 3.727
_cell_angle_alpha 90.00
_cell_angle_beta 90.00
_cell_angle_gamma 90.00
_space_group_name_H-M_alt 'C m m m'
_space_group_IT_number 65
_space_group_name_Hall '-C 2 2'
loop_
_atom_site_label
_atom_site_type_symbol
_atom_site_fract_x
_atom_site_fract_y
_atom_site_fract_z
_atom_site_occupancy
La1 La 0.000 0.000 0.000 1
La2 La 0.000 0.157 0.000 1
La3 La 0.000 0.370 0.000 1
La4 La 0.204 0.500 0.000 1
La5 La 0.228 0.181 0.000 1
Pm1 Pm 0.000 0.500 0.500 1
Pm2 Pm 0.101 0.264 0.500 1
Pm3 Pm 0.139 0.073 0.500 1
Th1 Th 0.157 0.398 0.500 1
```

Main lines, low angle first (15° ≤ 2θ ≤ 90°):
(hkl)  two_theta  Rel. int.
4 6 0  28.77  84
2 4 1  29.35  31
3 3 1  30.21  29
6 0 0  30.62  15
1 9 0  30.93  25
0 6 1  31.45  100
4 0 1  31.52  82
3 5 1  33.17  25
6 4 0  33.57  15
0 0 2  48.88  22
9 5 1  56.08  14
4 6 2  57.72  27